# BaMg2V6Cu8O26
Theoretical powder XRD pattern, a wavelength of 1.5418 Å. Input: a cell relaxed with PBE+U.
Intensities are scaled so that the largest is 100.

Principal peaks in the range 2θ from 10° to 80°, in order of falling intensity:
| 2θ (°) | d/Å | I_rel |
| --- | --- | --- |
| 33.8 | 2.649 | 100 |
| 32.0 | 2.794 | 86 |
| 34.8 | 2.579 | 48 |
| 29.4 | 3.042 | 44 |
| 32.3 | 2.768 | 43 |
| 44.9 | 2.021 | 41 |
| 24.7 | 3.604 | 39 |
| 38.3 | 2.351 | 38 |
| 60.9 | 1.521 | 36 |
| 10.7 | 8.305 | 34 |
| 25.5 | 3.494 | 32 |
| 29.1 | 3.065 | 31 |

Atomic structure:
abc: 8.3919 6.0846 10.9239
angles: 90.00 98.24 90.00
Fractional positions:
Ba (0.0000, 0.0000, 0.0000)
Mg (0.3205, 0.5000, 0.0478)
Mg (0.7053, 0.0000, 0.7598)
V (0.0449, 0.0000, 0.6224)
V (0.3384, 0.0000, 0.2820)
V (0.3875, 0.0000, 0.9153)
V (0.6529, 0.5000, 0.9088)
V (0.6926, 0.5000, 0.5420)
V (0.9850, 0.5000, 0.2050)
Cu (0.1144, 0.5000, 0.5268)
Cu (0.3684, 0.5000, 0.3562)
Cu (0.4075, 0.2500, 0.6427)
Cu (0.4075, 0.7500, 0.6427)
Cu (0.6222, 0.2498, 0.1808)
Cu (0.6222, 0.7502, 0.1808)
Cu (0.6575, 0.0000, 0.4689)
Cu (0.9164, 0.0000, 0.3093)
O (0.0888, 0.5000, 0.0826)
O (0.1293, 0.5000, 0.3403)
O (0.1333, 0.0000, 0.2713)
O (0.1754, 0.2279, 0.6295)
O (0.1754, 0.7721, 0.6295)
O (0.2722, 0.2232, 0.9426)
O (0.2722, 0.7768, 0.9426)
O (0.3572, 0.5000, 0.5354)
O (0.3933, 0.2523, 0.2106)
O (0.3933, 0.7477, 0.2106)
O (0.4221, 0.0000, 0.4360)
O (0.4533, 0.0000, 0.7537)
O (0.4852, 0.5000, 0.8029)
O (0.5531, 0.0000, 0.0238)
O (0.5771, 0.5000, 0.0676)
O (0.6020, 0.5000, 0.3886)
O (0.6366, 0.2462, 0.6134)
O (0.6366, 0.7538, 0.6134)
O (0.6733, 0.0000, 0.2905)
O (0.7573, 0.2620, 0.8863)
O (0.7573, 0.7380, 0.8863)
O (0.8582, 0.2650, 0.1884)
O (0.8582, 0.7350, 0.1884)
O (0.8925, 0.5000, 0.5384)
O (0.8974, 0.0000, 0.4876)
O (0.9439, 0.0000, 0.7467)